Entry 1:
This entry pairs a crystal structure of MgSi7Ir3 with its computed powder diffraction line list. Radiation: a wavelength of 1.5418 Å. Structure: the PBE geometry in Alexandria.
Neutral-atom scattering factors, no anomalous dispersion.

Structure:
a b c (Å): 7.5684 7.5684 20.0634
angles (deg): 90.00 90.00 120.00
Space group R-3c (No. 167, hexagonal axes)
Unique sites:
Mg 0.0000 0.0000 0.0000 [6 per cell]
Si 0.0000 0.0000 0.2500 [6 per cell]
Si 0.0124 0.2023 0.1374 [36 per cell]
Ir 0.0000 0.3240 0.2500 [18 per cell]

Most intense lines, 5 to 70 degrees two-theta, sorted by position:
- 2θ 23.51, intensity 19
- 2θ 26.66, intensity 21
- 2θ 27.07, intensity 100
- 2θ 35.84, intensity 18
- 2θ 41.32, intensity 27
- 2θ 47.33, intensity 35
- 2θ 49.86, intensity 32
- 2θ 50.10, intensity 28

Entry 2:
This entry pairs a crystal structure of Th2Mg2Si4Ir with its computed powder diffraction line list. Radiation: a wavelength of 1.5418 Å. Structure: the PBE geometry in Alexandria.
Neutral-atom scattering factors, no anomalous dispersion.

Structure:
a b c (Å): 6.4198 6.4198 8.5995
angles (deg): 90.00 90.00 90.00
Space group I4/mmm (No. 139)
Unique sites:
Th 0.0000 0.5000 0.2500 [4 per cell]
Mg 0.0000 0.0000 0.1998 [4 per cell]
Si 0.2329 0.2329 0.0000 [8 per cell]
Ir 0.0000 0.0000 0.5000 [2 per cell]

Most intense lines, 5 to 70 degrees two-theta, sorted by position:
- 2θ 17.24, intensity 24
- 2θ 27.79, intensity 50
- 2θ 28.59, intensity 100
- 2θ 34.88, intensity 29
- 2θ 39.71, intensity 38
- 2θ 49.66, intensity 45
- 2θ 51.14, intensity 17
- 2θ 59.20, intensity 22

Entry 3:
This entry pairs a crystal structure of Y2MgSi3Ir4 with its computed powder diffraction line list. Radiation: a wavelength of 1.5418 Å. Structure: the PBE geometry in Alexandria.
Neutral-atom scattering factors, no anomalous dispersion.

Structure:
a b c (Å): 4.0973 4.0973 10.3507
angles (deg): 90.00 90.00 90.00
Space group P-4m2 (No. 115)
Unique sites:
Y 0.0000 0.5000 0.2441 [2 per cell]
Mg 0.0000 0.0000 0.5000 [1 per cell]
Si 0.0000 0.5000 0.8744 [2 per cell]
Si 0.5000 0.5000 0.5000 [1 per cell]
Ir 0.0000 0.0000 0.0000 [1 per cell]
Ir 0.0000 0.5000 0.6459 [2 per cell]
Ir 0.5000 0.5000 0.0000 [1 per cell]

Most intense lines, 5 to 70 degrees two-theta, sorted by position:
- 2θ 25.82, intensity 41
- 2θ 27.77, intensity 38
- 2θ 32.08, intensity 66
- 2θ 33.97, intensity 30
- 2θ 35.51, intensity 100
- 2θ 44.21, intensity 59
- 2θ 47.09, intensity 37
- 2θ 49.32, intensity 27